Calculated X-ray powder pattern of La9CePr4 for copper Kα, from the PBE geometry in Alexandria.

Crystal structure
a b c (Å): 10.1577 10.1577 11.4140
angles (deg): 90.00 90.00 120.00
Space group P6_3/mmc (No. 194)
One atom of each set of equivalent atoms:
La: 0.0732 0.5366 0.2500 (multiplicity 6)
La: 0.2094 0.4188 0.5432 (multiplicity 12)
Ce: 0.3333 0.6667 0.7500 (multiplicity 2)
Pr: 0.0000 0.0000 0.0000 (multiplicity 2)
Pr: 0.1155 0.2310 0.2500 (multiplicity 6)

Principal peaks in the range 10 to 90 degrees two-theta, low angle first:
25.53°, rel. 16; 31.12°, rel. 100; 31.35°, rel. 18; 31.50°, rel. 34; 35.35°, rel. 10; 50.68°, rel. 22; 54.18°, rel. 14; 54.58°, rel. 15; 63.96°, rel. 13; 80.50°, rel. 12